No. 1
# NaVP2O7
Simulated X-ray diffraction stick pattern, Cu Kα X-rays. Input: a structure optimized by DFT (GGA+U).
Peak positions follow from Bragg's law for the DFT cell and can differ from measured ones.

Top 6 peaks for 2θ = 10–90°, sorted by position:
| Position (°2θ) | intensity |
| --- | --- |
| 16.94 | 55 |
| 22.57 | 36 |
| 25.80 | 25 |
| 28.09 | 46 |
| 28.30 | 31 |
| 29.65 | 100 |

Atomic structure:
```
NaVP2O7
1.0
7.4393 0.0000 0.0000
0.0000 8.1042 0.0000
-3.6133 0.0000 9.0143
Na V P O
4 4 8 28
direct
0.2133 0.0282 0.2089
0.2133 0.4718 0.7089
0.7867 0.5282 0.2911
0.7867 0.9718 0.7911
0.2399 0.0080 0.7508
0.2399 0.4920 0.2508
0.7601 0.5080 0.7492
0.7601 0.9920 0.2492
0.1730 0.7107 0.9528
0.1730 0.7893 0.4528
0.4274 0.2436 0.0452
0.4274 0.2564 0.5452
0.5726 0.7436 0.4548
0.5726 0.7564 0.9548
0.8270 0.2107 0.5472
0.8270 0.2893 0.0472
0.0341 0.5877 0.8461
0.0341 0.9123 0.3461
0.1339 0.6096 0.4001
0.1339 0.8904 0.9001
0.1931 0.6956 0.1150
0.1931 0.8044 0.6150
0.3125 0.1396 0.6012
0.3125 0.3604 0.1012
0.3201 0.2108 0.8789
0.3201 0.2892 0.3789
0.3760 0.6557 0.9377
0.3760 0.8443 0.4377
0.4879 0.0857 0.1391
0.4879 0.4143 0.6391
0.5121 0.5857 0.3609
0.5121 0.9143 0.8609
0.6240 0.1557 0.5623
0.6240 0.3443 0.0623
0.6799 0.7108 0.6211
0.6799 0.7892 0.1211
0.6875 0.6396 0.8988
0.6875 0.8604 0.3988
0.8069 0.1956 0.3850
0.8069 0.3044 0.8850
0.8661 0.1096 0.0999
0.8661 0.3904 0.5999
0.9659 0.0877 0.6539
0.9659 0.4123 0.1539
```

=====

No. 2
# MgCoO2
Simulated X-ray diffraction stick pattern, Cu Kα X-rays. Input: a structure optimized by DFT (GGA+U).
Peak positions follow from Bragg's law for the DFT cell and can differ from measured ones.

Top 6 peaks for 2θ = 10–90°, sorted by position:
| Position (°2θ) | intensity |
| --- | --- |
| 12.65 | 43 |
| 36.42 | 66 |
| 42.01 | 52 |
| 42.45 | 100 |
| 61.20 | 29 |
| 61.31 | 29 |

Atomic structure:
```
MgCoO2
1.0
7.3942 0.0000 0.0000
0.0000 3.0114 0.0000
-2.4057 0.0000 7.0084
Mg Co O
4 4 8
direct
0.0611 0.2500 0.1877
0.1886 0.7500 0.5636
0.8114 0.2500 0.4364
0.9389 0.7500 0.8123
0.3116 0.2500 0.9384
0.4353 0.7500 0.3125
0.5647 0.2500 0.6875
0.6884 0.7500 0.0616
0.0608 0.2500 0.6840
0.1820 0.7500 0.0608
0.3068 0.2500 0.4341
0.4363 0.7500 0.8081
0.5637 0.2500 0.1919
0.6932 0.7500 0.5659
0.8180 0.2500 0.9392
0.9392 0.7500 0.3160
```

=====

No. 3
# Li9Mn7O16
Simulated X-ray diffraction stick pattern, Cu Kα X-rays. Input: a structure optimized by DFT (GGA+U).
Peak positions follow from Bragg's law for the DFT cell and can differ from measured ones.

Top 6 peaks for 2θ = 10–90°, sorted by position:
| Position (°2θ) | intensity |
| --- | --- |
| 18.27 | 100 |
| 33.80 | 19 |
| 36.15 | 23 |
| 40.75 | 33 |
| 44.10 | 55 |
| 61.25 | 16 |

Atomic structure:
```
Li9Mn7O16
1.0
4.8925 -1.4395 0.0000
4.8925 1.4395 0.0000
-2.6601 0.0000 21.2142
Li Mn O
9 7 16
direct
0.0000 0.0000 0.0000
0.2434 0.2434 0.1827
0.2482 0.2482 0.9404
0.2488 0.2488 0.6874
0.2501 0.2501 0.4374
0.7499 0.7499 0.5626
0.7512 0.7512 0.3126
0.7518 0.7518 0.0596
0.7566 0.7566 0.8173
0.0000 0.0000 0.5000
0.0047 0.0047 0.7546
0.4903 0.4903 0.1167
0.5003 0.5003 0.3735
0.4997 0.4997 0.6265
0.5097 0.5097 0.8833
0.9953 0.9953 0.2454
0.1089 0.1089 0.0971
0.1158 0.1158 0.5995
0.1169 0.1169 0.3467
0.1170 0.1170 0.8494
0.3822 0.3822 0.2751
0.3833 0.3833 0.5264
0.3842 0.3842 0.0408
0.3934 0.3934 0.7853
0.6066 0.6066 0.2147
0.6158 0.6158 0.9592
0.6167 0.6167 0.4736
0.6178 0.6178 0.7249
0.8830 0.8830 0.1506
0.8831 0.8831 0.6533
0.8842 0.8842 0.4005
0.8911 0.8911 0.9029
```

=====

No. 4
# Li2Mn2FeP3O12
Simulated X-ray diffraction stick pattern, Cu Kα X-rays. Input: a structure optimized by DFT (GGA+U).
Peak positions follow from Bragg's law for the DFT cell and can differ from measured ones.

Top 6 peaks for 2θ = 10–90°, sorted by position:
| Position (°2θ) | intensity |
| --- | --- |
| 19.68 | 100 |
| 23.23 | 80 |
| 23.86 | 70 |
| 24.26 | 85 |
| 32.45 | 73 |
| 34.61 | 82 |

Atomic structure:
```
Li2Mn2FeP3O12
1.0
7.3597 -4.4788 0.0000
7.3597 4.4788 0.0000
-4.1908 0.0000 7.1727
Li Mn Fe P O
4 4 2 6 24
direct
0.0000 0.0000 0.0000
0.1086 0.4843 0.0980
0.5157 0.8914 0.9020
0.7026 0.2974 0.5000
0.0105 0.7845 0.6062
0.2155 0.9895 0.3938
0.5180 0.2929 0.0949
0.7071 0.4820 0.9051
0.3679 0.1397 0.2583
0.8603 0.6321 0.7417
0.1127 0.1821 0.8074
0.3000 0.7000 0.0000
0.4030 0.5970 0.5000
0.6158 0.0758 0.6803
0.8179 0.8873 0.1926
0.9242 0.3842 0.3197
0.0432 0.0439 0.7987
0.1060 0.7268 0.8487
0.1114 0.2174 0.3218
0.1832 0.1164 0.6405
0.2503 0.6402 0.5768
0.2664 0.2079 0.0002
0.2732 0.8940 0.1513
0.3253 0.5437 0.0602
0.3598 0.7497 0.4232
0.4234 0.4033 0.3522
0.4563 0.6747 0.9398
0.4689 0.0544 0.4893
0.5550 0.1000 0.8411
0.5967 0.5766 0.6478
0.6223 0.0361 0.1862
0.6735 0.2330 0.7107
0.7670 0.3265 0.2893
0.7826 0.8886 0.6782
0.7921 0.7336 0.9998
0.8836 0.8168 0.3595
0.9000 0.4450 0.1589
0.9456 0.5311 0.5107
0.9561 0.9568 0.2013
0.9639 0.3777 0.8138
```